(1)
Simulated powder XRD pattern of KSn for Cu Kα X-rays, from a crystal structure in the Materials Project, relaxed with GGA-PBE.
Lines closer than 0.1° are merged.

Peak list (10 most intense, 10 to 90 degrees two-theta, in order of rising 2θ)
h k l	2θ/deg	intensity
1 1 2	14.4	100
2 0 0	15.4	23
3 2 1	28.3	48
2 1 5	29.3	45
1 1 6	30.4	18
4 0 0	31.0	43
3 2 3	31.4	29
4 0 2	32.5	16
3 2 5	36.8	30
6 3 1	53.6	16

Crystal structure
Unit cell a=11.523 b=11.523 c=18.893 alpha=90.00 beta=90.00 gamma=90.00
Space group I4_1/acd (No. 142, origin choice 2)
Asymmetric unit:
K 0.122 0.128 0.125
K 0.138 0.000 0.750
Sn 0.065 0.137 0.931

---

(2)
Simulated powder XRD pattern of KSn2 for Cu Kα X-rays, from a crystal structure in the Materials Project, relaxed with GGA-PBE.
Lines closer than 0.1° are merged.

Peak list (10 most intense, 10 to 90 degrees two-theta, in order of rising 2θ)
h k l	2θ/deg	intensity
1 0 0	15.3	42
1 0 3	31.2	29
2 0 1	32.2	100
1 1 2	32.3	74
2 0 2	35.9	48
2 0 3	41.5	27
2 2 0	54.9	30
2 0 5	56.3	24
4 0 1	65.1	26
2 2 4	67.6	24

Crystal structure
Unit cell a=6.6907 b=6.6907 c=9.8905 alpha=90.00 beta=90.00 gamma=120.00
Space group P6_3/mmc (No. 194)
Asymmetric unit:
K 0.3333 0.6667 0.0665
Sn 0.0000 0.0000 0.0000
Sn 0.1701 0.3402 0.7500

---

(3)
Simulated powder XRD pattern of KSn3 for Cu Kα X-rays, from a crystal structure in the Materials Project, relaxed with GGA-PBE.
Lines closer than 0.1° are merged.

Peak list (10 most intense, 10 to 90 degrees two-theta, in order of rising 2θ)
h k l	2θ/deg	intensity
1 0 0	13.5	44
2 0 0	27.2	25
2 0 1	32.3	100
0 0 2	34.4	22
2 1 1	40.3	18
3 0 1	45.0	18
2 2 0	48.1	14
2 0 3	60.2	17
2 2 2	60.4	15
3 2 2	72.6	14

Crystal structure
Unit cell a=7.5667 b=7.5667 c=5.2212 alpha=90.00 beta=90.00 gamma=120.00
Space group P6_3/mmc (No. 194)
Asymmetric unit:
K 0.3333 0.6667 0.2500
Sn 0.1410 0.2820 0.7500

---

(4)
Simulated powder XRD pattern of K3Sn for Cu Kα X-rays, from a crystal structure in the Materials Project, relaxed with GGA-PBE.
Lines closer than 0.1° are merged.

Peak list (10 most intense, 10 to 90 degrees two-theta, in order of rising 2θ)
h k l	2θ/deg	intensity
1 1 1	17.3	22
2 0 0	20.0	12
2 2 0	28.4	100
3 1 1	33.5	14
4 0 0	40.6	18
3 3 1	44.5	7
4 2 2	50.3	38
4 4 0	58.8	12
6 2 0	66.6	16
6 4 2	81.0	18

Crystal structure
Unit cell a=8.882 b=8.882 c=8.882 alpha=90.00 beta=90.00 gamma=90.00
Space group Fm-3m (No. 225)
Asymmetric unit:
K 0.000 0.000 0.000
K 0.250 0.250 0.250
Sn 0.000 0.000 0.500

---

(5)
Simulated powder XRD pattern of K4Zn2Sn21 for Cu Kα X-rays, from a crystal structure in the Materials Project, relaxed with GGA-PBE.
Lines closer than 0.1° are merged.

Peak list (10 most intense, 10 to 90 degrees two-theta, in order of rising 2θ)
h k l	2θ/deg	intensity
1 2 2	16.1	36
2 2 0	17.7	36
2 4 0	25.1	24
2 3 3	26.2	40
1 1 5	27.2	100
4 1 1	30.0	35
3 5 5	42.9	87
5 4 2	43.6	30
6 0 0	44.2	33
3 7 3	45.5	52

Crystal structure
Unit cell a=12.289 b=17.368 c=17.379 alpha=90.00 beta=90.00 gamma=90.00
Space group Ama2 (No. 40)
Asymmetric unit:
K 0.000 0.000 0.000
K 0.250 0.124 0.626
K 0.250 0.251 0.251
K 0.250 0.375 0.877
Zn 0.000 0.000 0.501
Zn 0.250 0.125 0.876
Sn 0.059 0.307 0.694
Sn 0.066 0.249 0.433
Sn 0.067 0.067 0.252
Sn 0.068 0.432 0.251
Sn 0.069 0.250 0.068
Sn 0.070 0.188 0.813
Sn 0.130 0.090 0.411
Sn 0.130 0.410 0.091
Sn 0.250 0.038 0.153
Sn 0.250 0.151 0.029
Sn 0.250 0.347 0.463
Sn 0.250 0.375 0.626
Sn 0.250 0.472 0.350

---

(6)
Simulated powder XRD pattern of K8SrTe6 for Cu Kα X-rays, from a crystal structure in the Materials Project, relaxed with GGA-PBE.
Lines closer than 0.1° are merged.

Peak list (10 most intense, 10 to 90 degrees two-theta, in order of rising 2θ)
h k l	2θ/deg	intensity
2 1 1	20.3	100
3 1 0	20.5	81
3 2 1	27.4	73
4 2 0	29.2	98
4 1 1	30.4	89
2 0 2	31.4	70
5 2 1	38.2	74
4 0 2	38.9	60
3 3 2	40.1	38
6 4 2	56.6	42

Crystal structure
Unit cell a=13.700 b=13.700 c=6.272 alpha=90.00 beta=90.00 gamma=90.00
Space group I-42m (No. 121)
Asymmetric unit:
K 0.088 0.280 0.243
Sr 0.000 0.000 0.500
Te 0.000 0.500 0.000
Te 0.151 0.151 0.734

---

(7)
Simulated powder XRD pattern of K2Tc for Cu Kα X-rays, from a crystal structure in the Materials Project, relaxed with GGA-PBE.
Lines closer than 0.1° are merged.

Peak list (10 most intense, 10 to 90 degrees two-theta, in order of rising 2θ)
h k l	2θ/deg	intensity
0 0 2	16.4	22
0 3 1	16.5	40
0 3 3	28.6	100
0 6 0	28.8	49
1 1 1	33.1	27
1 0 2	35.8	30
1 4 0	37.1	28
1 1 3	40.8	22
0 9 3	51.0	17
0 6 6	59.2	16

Crystal structure
Unit cell a=2.832 b=18.572 c=10.835 alpha=90.00 beta=90.00 gamma=90.00
Space group Amm2 (No. 38)
Asymmetric unit:
K 0.000 0.000 0.000
K 0.000 0.156 0.526
K 0.500 0.000 0.330
K 0.500 0.176 0.857
Tc 0.000 0.167 0.182
Tc 0.500 0.000 0.688

---

(8)
Simulated powder XRD pattern of K2Tc for Cu Kα X-rays, from a crystal structure in the Materials Project, relaxed with GGA-PBE.
Lines closer than 0.1° are merged.

Peak list (10 most intense, 10 to 90 degrees two-theta, in order of rising 2θ)
h k l	2θ/deg	intensity
1 1 0	18.2	57
1 0 1	20.8	37
1 1 1	25.7	49
2 0 1	27.8	100
2 1 0	28.0	20
3 0 0	31.8	57
2 1 1	33.4	62
0 0 2	36.3	24
3 0 2	49.1	32
3 2 1	50.7	36

Crystal structure
Unit cell a=9.7376 b=9.7376 c=4.9448 alpha=90.00 beta=90.00 gamma=120.00
Space group P-62m (No. 189)
Asymmetric unit:
K 0.0000 0.4092 0.0000
K 0.0000 0.7414 0.5000
Tc 0.0000 0.0000 0.0000
Tc 0.3333 0.6667 0.5000